No. 1
This entry pairs a crystal structure of Ho3ErC8 with its theoretical X-ray diffraction stick pattern. Radiation: copper Kα. Structure: a crystal structure in Alexandria, relaxed with GGA-PBE.
Lines closer than 0.1° are merged.

Peak list (12 most intense, 10° ≤ 2θ ≤ 80°, in order of rising 2θ)
(hkl), 2θ/deg, I_rel
0 2 1, 28.44, 100
2 0 0, 28.97, 32
0 4 0, 34.72, 24
2 0 -2, 34.88, 24
2 4 0, 45.86, 27
4 0 -2, 46.01, 9
2 4 -2, 50.04, 17
2 2 1, 51.03, 28
0 6 1, 58.46, 14
4 2 -3, 58.67, 14
0 4 2, 58.86, 17
2 6 1, 74.17, 9

Atomic structure:
abc: 8.0200 10.3341 5.1447
angles: 90.00 129.78 90.00
Space group C2/m (No. 12)
Asymmetric unit:
Ho: 0.0000 0.0000 0.0000 (multiplicity 2)
Ho: 0.0000 0.2502 0.5000 (multiplicity 4)
Er: 0.0000 0.5000 0.0000 (multiplicity 2)
C: 0.1059 0.0000 0.6060 (multiplicity 4)
C: 0.1059 0.2507 0.1061 (multiplicity 8)
C: 0.1057 0.5000 0.6059 (multiplicity 4)

---

No. 2
This entry pairs a crystal structure of Ho3ErSn2C with its theoretical X-ray diffraction stick pattern. Radiation: copper Kα. Structure: a crystal structure in Alexandria, relaxed with GGA-PBE.
Lines closer than 0.1° are merged.

Peak list (12 most intense, 10° ≤ 2θ ≤ 80°, in order of rising 2θ)
(hkl), 2θ/deg, I_rel
0 0 2, 11.16, 17
1 1 2, 28.81, 71
0 0 6, 33.91, 34
1 1 4, 34.96, 100
0 2 0, 37.72, 29
2 0 0, 37.85, 29
2 0 6, 51.66, 37
2 2 0, 54.51, 20
1 1 10, 64.99, 19
2 2 6, 65.76, 18
1 3 4, 66.33, 16
3 1 4, 66.49, 16

Atomic structure:
abc: 4.7542 4.7693 15.8629
angles: 90.00 90.00 90.00
Space group Immm (No. 71)
Asymmetric unit:
Ho: 0.0000 0.0000 0.0000 (multiplicity 2)
Ho: 0.0000 0.5000 0.1587 (multiplicity 4)
Er: 0.0000 0.0000 0.5000 (multiplicity 2)
Sn: 0.0000 0.5000 0.3596 (multiplicity 4)
C: 0.0000 0.5000 0.0000 (multiplicity 2)

---

What did the first record say?
This entry pairs a crystal structure of Ho3ErC8 with its theoretical X-ray diffraction stick pattern. Radiation: copper Kα. Structure: a crystal structure in Alexandria, relaxed with GGA-PBE.
Lines closer than 0.1° are merged.

Peak list (12 most intense, 10° ≤ 2θ ≤ 80°, in order of rising 2θ)
(hkl), 2θ/deg, I_rel
0 2 1, 28.44, 100
2 0 0, 28.97, 32
0 4 0, 34.72, 24
2 0 -2, 34.88, 24
2 4 0, 45.86, 27
4 0 -2, 46.01, 9
2 4 -2, 50.04, 17
2 2 1, 51.03, 28
0 6 1, 58.46, 14
4 2 -3, 58.67, 14
0 4 2, 58.86, 17
2 6 1, 74.17, 9

Atomic structure:
abc: 8.0200 10.3341 5.1447
angles: 90.00 129.78 90.00
Space group C2/m (No. 12)
Asymmetric unit:
Ho: 0.0000 0.0000 0.0000 (multiplicity 2)
Ho: 0.0000 0.2502 0.5000 (multiplicity 4)
Er: 0.0000 0.5000 0.0000 (multiplicity 2)
C: 0.1059 0.0000 0.6060 (multiplicity 4)
C: 0.1059 0.2507 0.1061 (multiplicity 8)
C: 0.1057 0.5000 0.6059 (multiplicity 4)